Entry 1:
This entry pairs a crystal structure of CdAg5Au with its theoretical X-ray powder pattern. Radiation: a wavelength of 1.5418 Å. Structure: a structure optimized by DFT (PBE).
Kinematic intensities with the Lorentz-polarization factor, no thermal factor.

Structural model:
a = 5.7604 Å, b = 5.7604 Å, c = 10.2128 Å
α = 99.55°, β = 99.55°, γ = 55.21°
Atoms (fractional coordinates):
Cd1 0.2441 0.7559 0.7500
Cd2 0.7559 0.2441 0.2500
Ag1 0.2248 0.2490 0.6851
Ag2 0.2490 0.2248 0.1851
Ag3 0.2615 0.7385 0.2500
Ag4 0.3501 0.3624 0.9595
Ag5 0.3624 0.3501 0.4595
Ag6 0.6376 0.6499 0.5405
Ag7 0.6499 0.6376 0.0405
Ag8 0.7385 0.2615 0.7500
Ag9 0.7510 0.7752 0.8149
Ag10 0.7752 0.7510 0.3149
Au1 0.0000 0.0000 0.0000
Au2 0.0000 0.0000 0.5000

Main lines, by intensity (2θ = 10–90°):
two_theta, I_rel
38.9, 100
40.9, 98
38.2, 84
37.0, 77
35.8, 77
31.6, 54
42.3, 50
65.6, 38
44.3, 35
33.6, 34


Entry 2:
This entry pairs a crystal structure of Y4Se3 with its theoretical X-ray powder pattern. Radiation: a wavelength of 1.5418 Å. Structure: a structure optimized by DFT (PBE).
Kinematic intensities with the Lorentz-polarization factor, no thermal factor.

Structural model:
a = 13.4335 Å, b = 13.4335 Å, c = 13.4335 Å
α = 17.03°, β = 17.03°, γ = 17.03°
Atoms (fractional coordinates):
Y1 0.1211 0.1211 0.1211
Y2 0.3692 0.3692 0.3692
Y3 0.6308 0.6308 0.6308
Y4 0.8789 0.8789 0.8789
Se1 0.2539 0.2539 0.2539
Se2 0.5000 0.5000 0.5000
Se3 0.7461 0.7461 0.7461

Main lines, by intensity (2θ = 10–90°):
two_theta, I_rel
31.6, 100
45.6, 37
45.0, 32
56.5, 18
75.5, 15
74.6, 14
83.9, 10
66.0, 10
39.4, 9
28.2, 8


- Which formula does entry 2 have?
  Y4Se3


- Which formula does entry 1 have?
  CdAg5Au